# Pm3Pr3ErS8
Computed powder XRD pattern, Cu Kα (λ = 1.5418 Å). Input: a DFT-relaxed cell (GGA-PBE, Alexandria).
Intensities are scaled so that the largest is 100.

Top 10 peaks for 2θ from 10° to 90°, by angle:
2θ/deg, I_rel, h k l
13.38, 19, 0 0 3
26.83, 17, 0 0 6
26.99, 49, 2 0 2
31.22, 100, 0 2 4
44.63, 36, 2 0 8
44.84, 36, 2 2 0
53.06, 25, 2 2 6
55.65, 19, 4 0 4
73.84, 16, 2 2 12
74.14, 16, 2 4 4

Structure:
```
data_Pm3Pr3ErS8
_chemical_formula_sum 'Pm9 Pr9 Er3 S24'
_symmetry_space_group_name_H-M 'R -3 m'
_symmetry_Int_Tables_number 166
_symmetry_space_group_name_Hall '-R 3 2"'
_cell_length_a 8.0846
_cell_length_b 8.0846
_cell_length_c 19.9358
_cell_angle_alpha 90.00
_cell_angle_beta 90.00
_cell_angle_gamma 120.00
loop_
_atom_site_label
_atom_site_fract_x
_atom_site_fract_y
_atom_site_fract_z
Pm1 0.0000 0.5000 0.0000
Pr1 0.0000 0.5000 0.5000
Er1 0.0000 0.0000 0.0000
S1 0.0000 0.0000 0.2521
S2 0.0097 0.5049 0.7456
```